This entry pairs a crystal structure of Y2Zr4Ni3C3 with its theoretical powder diffraction line list. Radiation: copper Kα. Structure: the PBE geometry in OQMD.

Structure:
a b c (Å): 5.815 5.815 13.865
angles (deg): 102.58 102.58 60.05
Fractional coordinates of all 24 atoms:
Y1 0.041 0.877 0.617
Y2 0.123 0.959 0.883
Y3 0.877 0.041 0.117
Y4 0.959 0.123 0.383
Zr1 0.198 0.359 0.092
Zr2 0.295 0.476 0.408
Zr3 0.359 0.198 0.592
Zr4 0.476 0.295 0.908
Zr5 0.524 0.705 0.092
Zr6 0.641 0.802 0.408
Zr7 0.705 0.524 0.592
Zr8 0.802 0.641 0.908
Ni1 0.086 0.413 0.750
Ni2 0.413 0.086 0.250
Ni3 0.416 0.584 0.250
Ni4 0.584 0.416 0.750
Ni5 0.587 0.914 0.750
Ni6 0.914 0.587 0.250
C1 0.000 0.500 0.500
C2 0.172 0.655 0.000
C3 0.345 0.828 0.500
C4 0.500 0.000 0.000
C5 0.655 0.172 0.500
C6 0.828 0.345 0.000

Principal peaks in the range 2θ from 10° to 80°, low angle first:
- d 2.908, 2θ 30.7, rel. 39
- d 2.845, 2θ 31.4, rel. 54
- d 2.837, 2θ 31.5, rel. 27
- d 2.447, 2θ 36.7, rel. 95
- d 2.439, 2θ 36.9, rel. 100
- d 2.428, 2θ 37.0, rel. 84
- d 2.237, 2θ 40.3, rel. 44
- d 1.680, 2θ 54.6, rel. 29
- d 1.506, 2θ 61.6, rel. 25
- d 1.447, 2θ 64.4, rel. 25